Record 1
Starting from a DFT-relaxed cell (GGA-PBE, Alexandria), the powder X-ray diffraction pattern of Ta3Ti2Mo6 was calculated for λ = 1.5418 Å (Cu Kα).
Intensities are scaled so that the largest is 100.

Atomic structure:
Cell: 8.448 8.448 2.858 Å, 90.00 90.00 111.23°
Fractional positions:
Ta: 0.000 0.000 0.000
Ta: 0.198 0.802 0.500
Ta: 0.802 0.198 0.500
Ti: 0.251 0.251 0.500
Ti: 0.749 0.749 0.500
Mo: 0.096 0.422 0.000
Mo: 0.402 0.598 0.000
Mo: 0.422 0.096 0.000
Mo: 0.578 0.904 0.000
Mo: 0.598 0.402 0.000
Mo: 0.904 0.578 0.000

Most intense lines, 5° ≤ 2θ ≤ 70°, low angle first:
- 2θ = 11.2°, intensity 20
- 2θ = 33.5°, intensity 61
- 2θ = 37.7°, intensity 62
- 2θ = 38.1°, intensity 51
- 2θ = 38.9°, intensity 100
- 2θ = 43.1°, intensity 34
- 2θ = 47.0°, intensity 20
- 2θ = 61.8°, intensity 17
- 2θ = 65.7°, intensity 19
- 2θ = 68.9°, intensity 18

Record 2
Starting from a DFT-relaxed cell (GGA-PBE, Alexandria), the powder X-ray diffraction pattern of TaTiMo2W2 was calculated for λ = 1.5418 Å (Cu Kα).
Intensities are scaled so that the largest is 100.

Atomic structure:
Cell: 4.542 8.047 5.429 Å, 90.00 90.00 90.00°
Fractional positions:
Ta: 0.000 0.172 0.000
Ta: 0.000 0.828 0.500
Ti: 0.500 0.010 0.307
Ti: 0.500 0.990 0.807
Mo: 0.000 0.170 0.499
Mo: 0.000 0.830 0.999
Mo: 0.500 0.335 0.156
Mo: 0.500 0.665 0.656
W: 0.000 0.495 0.335
W: 0.000 0.505 0.835
W: 0.500 0.326 0.652
W: 0.500 0.674 0.152

Most intense lines, 5° ≤ 2θ ≤ 70°, low angle first:
- 2θ = 11.0°, intensity 29
- 2θ = 38.6°, intensity 43
- 2θ = 39.0°, intensity 100
- 2θ = 39.7°, intensity 48
- 2θ = 40.1°, intensity 24
- 2θ = 40.3°, intensity 42
- 2θ = 45.0°, intensity 15
- 2θ = 47.7°, intensity 23
- 2θ = 57.7°, intensity 17
- 2θ = 63.7°, intensity 20